Entry 1:
# Ac2PaSb3Rh6
Theoretical powder XRD pattern, Cu Kα (weighted mean of Kα1 and Kα2). Input: the GGA-PBE geometry in Alexandria.
Peak positions follow from Bragg's law for the DFT cell and can differ from measured ones.

Cell and atoms:
```
Ac2PaSb3Rh6
1.0
4.121 0.000 0.000
0.000 4.121 0.000
0.000 0.000 17.287
Ac Pa Sb Rh
2 1 3 6
Direct
0.000 0.000 0.137
0.000 0.000 0.863
0.000 0.000 0.500
0.500 0.500 0.000
0.500 0.500 0.300
0.500 0.500 0.700
0.000 0.500 0.394
0.000 0.500 0.606
0.500 0.000 0.394
0.500 0.000 0.606
0.500 0.500 0.152
0.500 0.500 0.848
```

Top 10 peaks for 10° ≤ 2θ ≤ 90°, by angle:
d_spacing, I/Imax
4.322, 28
3.720, 24
3.352, 100
2.914, 46
2.875, 52
2.601, 45
2.228, 56
2.061, 72
2.049, 59
1.756, 33


Entry 2:
# TlIn9Ag2
Theoretical powder XRD pattern, Cu Kα (weighted mean of Kα1 and Kα2). Input: the GGA-PBE geometry in Alexandria.
Peak positions follow from Bragg's law for the DFT cell and can differ from measured ones.

Cell and atoms:
```
TlIn9Ag2
1.0
-6.226 6.226 4.111
6.226 -6.226 4.111
6.226 6.226 -4.111
Tl In Ag
2 18 4
Direct
0.375 0.625 0.750
0.625 0.375 0.250
0.111 0.547 0.320
0.111 0.791 0.563
0.125 0.875 0.250
0.209 0.273 0.320
0.209 0.889 0.937
0.273 0.209 0.820
0.273 0.453 0.063
0.453 0.273 0.563
0.453 0.889 0.180
0.547 0.111 0.820
0.547 0.727 0.437
0.727 0.547 0.937
0.727 0.791 0.180
0.791 0.111 0.063
0.791 0.727 0.680
0.875 0.125 0.750
0.889 0.209 0.437
0.889 0.453 0.680
0.000 0.000 0.000
0.000 0.000 0.500
0.000 0.500 0.000
0.500 0.000 0.500
```

Top 10 peaks for 10° ≤ 2θ ≤ 90°, by angle:
d_spacing, I/Imax
3.184, 26
2.843, 100
2.785, 46
2.677, 25
2.459, 14
2.384, 53
2.305, 20
1.894, 13
1.619, 22
1.392, 13


Entry 3:
# Pm6NdCo3
Theoretical powder XRD pattern, Cu Kα (weighted mean of Kα1 and Kα2). Input: the GGA-PBE geometry in Alexandria.
Peak positions follow from Bragg's law for the DFT cell and can differ from measured ones.

Cell and atoms:
```
Pm6NdCo3
1.0
5.060 -7.112 0.000
5.060 7.112 0.000
0.000 0.000 7.573
Pm Nd Co
12 2 6
Direct
0.007 0.993 0.500
0.013 0.383 0.346
0.269 0.375 0.720
0.346 0.654 0.090
0.375 0.269 0.220
0.383 0.013 0.846
0.617 0.987 0.346
0.625 0.731 0.720
0.654 0.346 0.590
0.731 0.625 0.220
0.987 0.617 0.846
0.993 0.007 0.000
0.249 0.751 0.502
0.751 0.249 0.002
0.053 0.720 0.185
0.280 0.947 0.185
0.436 0.564 0.412
0.564 0.436 0.912
0.720 0.053 0.685
0.947 0.280 0.685
```

Top 10 peaks for 10° ≤ 2θ ≤ 90°, by angle:
d_spacing, I/Imax
3.219, 52
3.032, 100
3.012, 57
2.840, 54
2.789, 34
2.749, 88
2.716, 58
2.575, 66
2.379, 40
1.648, 33


Entry 4:
# BeAl2Pd2
Theoretical powder XRD pattern, Cu Kα (weighted mean of Kα1 and Kα2). Input: the GGA-PBE geometry in Alexandria.
Peak positions follow from Bragg's law for the DFT cell and can differ from measured ones.

Cell and atoms:
```
BeAl2Pd2
1.0
6.050 0.000 0.000
0.000 6.050 0.000
0.000 0.000 3.971
Be Al Pd
2 4 4
Direct
0.000 0.000 0.000
0.500 0.500 0.000
0.158 0.342 0.500
0.342 0.842 0.500
0.658 0.158 0.500
0.842 0.658 0.500
0.161 0.661 0.000
0.339 0.161 0.000
0.661 0.839 0.000
0.839 0.339 0.000
```

Top 10 peaks for 10° ≤ 2θ ≤ 90°, by angle:
d_spacing, I/Imax
4.278, 17
3.971, 39
3.025, 17
2.706, 31
2.236, 100
1.985, 16
1.913, 16
1.601, 12
1.377, 26
1.189, 13


Entry 5:
# RhBr2
Theoretical powder XRD pattern, Cu Kα (weighted mean of Kα1 and Kα2). Input: the GGA-PBE geometry in Alexandria.
Peak positions follow from Bragg's law for the DFT cell and can differ from measured ones.

Cell and atoms:
```
RhBr2
1.0
6.875 -1.815 0.000
6.875 1.815 0.000
-2.663 0.000 7.171
Rh Br
2 4
Direct
0.015 0.015 0.185
0.985 0.985 0.815
0.356 0.356 0.722
0.393 0.393 0.181
0.607 0.607 0.819
0.644 0.644 0.278
```

Top 10 peaks for 10° ≤ 2θ ≤ 90°, by angle:
d_spacing, I/Imax
7.171, 44
6.445, 92
5.928, 42
3.734, 47
3.586, 90
2.773, 100
2.192, 34
2.102, 35
1.988, 52
1.862, 39


Entry 6:
# Ag4ClF3
Theoretical powder XRD pattern, Cu Kα (weighted mean of Kα1 and Kα2). Input: the GGA-PBE geometry in Alexandria.
Peak positions follow from Bragg's law for the DFT cell and can differ from measured ones.

Cell and atoms:
```
Ag4ClF3
1.0
10.132 0.000 0.000
0.000 5.219 0.000
0.000 0.000 5.216
Ag Cl F
8 2 6
Direct
0.000 0.233 0.000
0.000 0.734 0.502
0.235 0.252 0.501
0.265 0.748 0.001
0.500 0.266 0.002
0.500 0.767 0.500
0.735 0.748 0.001
0.765 0.252 0.501
0.000 0.733 0.002
0.500 0.267 0.502
0.000 0.231 0.500
0.250 0.248 0.001
0.250 0.752 0.501
0.500 0.769 0.000
0.750 0.248 0.001
0.750 0.752 0.501
```

Top 10 peaks for 10° ≤ 2θ ≤ 90°, by angle:
d_spacing, I/Imax
2.982, 100
2.609, 84
2.533, 38
1.845, 28
1.817, 51
1.569, 29
1.535, 11
1.491, 25
1.167, 11
1.160, 11